# 1
Starting from a DFT-relaxed cell (PBE+U, Alexandria), the X-ray powder pattern of Cs2KFe2F7 was computed for Cu Kα.
Kinematic intensities with the Lorentz-polarization factor, no thermal factor.

Top 6 peaks for 10° ≤ 2θ ≤ 90°, in order of rising 2θ:
d = 3.765 Å, I = 47; d = 3.144 Å, I = 100; d = 3.062 Å, I = 73; d = 2.387 Å, I = 35; d = 2.165 Å, I = 51; d = 1.783 Å, I = 38

Crystal structure
Cell: 11.837 11.837 11.837 Å, 158.92 158.92 29.98°
Positions (direct):
Cs (0.182, 0.182, 0.000)
Cs (0.818, 0.818, 0.000)
K (0.000, 0.000, 0.000)
Fe (0.411, 0.411, 0.000)
Fe (0.589, 0.589, 0.000)
F (0.087, 0.587, 0.500)
F (0.322, 0.322, 0.000)
F (0.413, 0.913, 0.500)
F (0.500, 0.500, 0.000)
F (0.587, 0.087, 0.500)
F (0.678, 0.678, 0.000)
F (0.913, 0.413, 0.500)



# 2
Starting from a DFT-relaxed cell (PBE+U, Alexandria), the X-ray powder pattern of KVS2O9 was computed for Cu Kα.
Kinematic intensities with the Lorentz-polarization factor, no thermal factor.

Top 6 peaks for 10° ≤ 2θ ≤ 90°, in order of rising 2θ:
d = 8.446 Å, I = 23; d = 4.352 Å, I = 56; d = 3.973 Å, I = 28; d = 3.226 Å, I = 100; d = 3.110 Å, I = 23; d = 2.499 Å, I = 21

Crystal structure
Cell: 4.998 9.005 16.893 Å, 90.00 90.00 90.00°
Positions (direct):
K (0.228, 0.073, 0.446)
K (0.272, 0.927, 0.946)
K (0.728, 0.427, 0.554)
K (0.772, 0.573, 0.054)
V (0.243, 0.153, 0.197)
V (0.257, 0.847, 0.697)
V (0.743, 0.347, 0.803)
V (0.757, 0.653, 0.303)
S (0.240, 0.380, 0.923)
S (0.249, 0.248, 0.692)
S (0.251, 0.752, 0.192)
S (0.260, 0.620, 0.423)
S (0.740, 0.120, 0.077)
S (0.749, 0.252, 0.308)
S (0.751, 0.748, 0.808)
S (0.760, 0.880, 0.577)
O (0.015, 0.172, 0.294)
O (0.029, 0.924, 0.613)
O (0.040, 0.351, 0.730)
O (0.060, 0.576, 0.357)
O (0.204, 0.248, 0.607)
O (0.216, 0.519, 0.489)
O (0.241, 0.323, 0.170)
O (0.244, 0.105, 0.732)
O (0.244, 0.777, 0.439)
O (0.256, 0.223, 0.939)
O (0.256, 0.895, 0.232)
O (0.259, 0.677, 0.670)
O (0.284, 0.481, 0.989)
O (0.296, 0.752, 0.107)
O (0.440, 0.424, 0.857)
O (0.460, 0.649, 0.230)
O (0.471, 0.076, 0.113)
O (0.485, 0.828, 0.794)
O (0.515, 0.328, 0.706)
O (0.529, 0.576, 0.387)
O (0.540, 0.149, 0.270)
O (0.560, 0.924, 0.643)
O (0.704, 0.252, 0.393)
O (0.716, 0.981, 0.511)
O (0.741, 0.177, 0.830)
O (0.744, 0.395, 0.268)
O (0.744, 0.723, 0.561)
O (0.756, 0.277, 0.061)
O (0.756, 0.605, 0.768)
O (0.759, 0.823, 0.330)
O (0.784, 0.019, 0.011)
O (0.796, 0.748, 0.893)
O (0.940, 0.076, 0.143)
O (0.960, 0.851, 0.770)
O (0.971, 0.424, 0.887)
O (0.985, 0.672, 0.206)